Diffraction record for Al4VNi15. The powder X-ray diffraction pattern is calculated, not measured: it uses a DFT-relaxed cell (GGA-PBE, Alexandria) and Cu Ka.

Peak list (10 most intense, 2θ from 10° to 90°, low angle first)
3.561 Å, I 8; 2.518 Å, I 6; 2.056 Å, I 100; 1.783 Å, I 16; 1.779 Å, I 31; 1.593 Å, I 2; 1.454 Å, I 2; 1.259 Å, I 18; 1.258 Å, I 9; 1.187 Å, I 1

Structure:
Unit cell a=3.558 b=3.558 c=17.833 alpha=90.00 beta=90.00 gamma=90.00
Atoms (fractional coordinates):
Al 0.000 0.000 0.100
Al 0.000 0.000 0.299
Al 0.000 0.000 0.701
Al 0.000 0.000 0.900
V 0.000 0.000 0.500
Ni 0.000 0.500 0.000
Ni 0.000 0.500 0.200
Ni 0.000 0.500 0.402
Ni 0.000 0.500 0.598
Ni 0.000 0.500 0.800
Ni 0.500 0.000 0.000
Ni 0.500 0.000 0.200
Ni 0.500 0.000 0.402
Ni 0.500 0.000 0.598
Ni 0.500 0.000 0.800
Ni 0.500 0.500 0.101
Ni 0.500 0.500 0.301
Ni 0.500 0.500 0.500
Ni 0.500 0.500 0.699
Ni 0.500 0.500 0.899

***

Diffraction record for PaGeAu. The powder X-ray diffraction pattern is calculated, not measured: it uses a DFT-relaxed cell (GGA-PBE, Alexandria) and Cu Ka.

Peak list (10 most intense, 2θ from 10° to 90°, low angle first)
2.878 Å, I 14; 2.720 Å, I 100; 2.558 Å, I 53; 2.295 Å, I 50; 1.956 Å, I 19; 1.942 Å, I 19; 1.554 Å, I 24; 1.484 Å, I 13; 1.481 Å, I 13; 1.378 Å, I 12

Structure:
Unit cell a=3.884 b=3.912 c=8.716 alpha=90.00 beta=102.73 gamma=90.00
Atoms (fractional coordinates):
Pa 0.108 0.250 0.218
Pa 0.892 0.750 0.782
Ge 0.451 0.250 0.901
Ge 0.549 0.750 0.099
Au 0.288 0.250 0.576
Au 0.712 0.750 0.424

***

Diffraction record for MnCuS2. The powder X-ray diffraction pattern is calculated, not measured: it uses a DFT-relaxed cell (GGA-PBE, Alexandria) and Cu Ka.

Peak list (10 most intense, 2θ from 10° to 90°, low angle first)
3.163 Å, I 38; 3.129 Å, I 100; 2.908 Å, I 27; 2.755 Å, I 50; 2.642 Å, I 87; 2.262 Å, I 65; 1.840 Å, I 85; 1.819 Å, I 65; 1.800 Å, I 35; 1.707 Å, I 29

Structure:
Unit cell a=5.815 b=3.600 c=6.325 alpha=90.00 beta=90.00 gamma=90.00
Atoms (fractional coordinates):
Mn 0.000 0.000 0.000
Mn 0.500 0.000 0.000
Cu 0.250 0.500 0.497
Cu 0.750 0.500 0.503
S 0.250 0.000 0.291
S 0.250 0.500 0.846
S 0.750 0.000 0.709
S 0.750 0.500 0.154

***

Diffraction record for ThAuN. The powder X-ray diffraction pattern is calculated, not measured: it uses a DFT-relaxed cell (GGA-PBE, Alexandria) and Cu Ka.

Peak list (10 most intense, 2θ from 10° to 90°, low angle first)
3.380 Å, I 73; 2.937 Å, I 60; 2.596 Å, I 100; 2.435 Å, I 23; 2.015 Å, I 60; 1.697 Å, I 24; 1.676 Å, I 13; 1.592 Å, I 24; 1.506 Å, I 20; 1.249 Å, I 22

Structure:
Unit cell a=9.357 b=9.357 c=9.357 alpha=24.87 beta=24.87 gamma=24.87
Atoms (fractional coordinates):
Th 0.221 0.221 0.221
Th 0.779 0.779 0.779
Au 0.364 0.364 0.364
Au 0.636 0.636 0.636
N 0.133 0.133 0.133
N 0.867 0.867 0.867

***

Diffraction record for ZnCuS2. The powder X-ray diffraction pattern is calculated, not measured: it uses a DFT-relaxed cell (GGA-PBE, Alexandria) and Cu Ka.

Peak list (10 most intense, 2θ from 10° to 90°, low angle first)
3.078 Å, I 100; 2.637 Å, I 8; 1.895 Å, I 41; 1.865 Å, I 19; 1.633 Å, I 14; 1.595 Å, I 26; 1.319 Å, I 6; 1.228 Å, I 10; 1.212 Å, I 5; 1.100 Å, I 6

Structure:
Unit cell a=3.730 b=3.730 c=5.448 alpha=90.01 beta=90.01 gamma=90.00
Atoms (fractional coordinates):
Zn 0.000 0.000 0.000
Cu 0.499 0.501 0.500
S 0.500 0.001 0.259
S 0.999 0.500 0.741

***

Diffraction record for MgBHO3. The powder X-ray diffraction pattern is calculated, not measured: it uses a DFT-relaxed cell (GGA-PBE, Alexandria) and Cu Ka.

Peak list (10 most intense, 2θ from 10° to 90°, low angle first)
6.314 Å, I 67; 3.026 Å, I 48; 2.710 Å, I 47; 2.698 Å, I 60; 2.573 Å, I 100; 2.455 Å, I 53; 2.344 Å, I 68; 2.225 Å, I 56; 2.105 Å, I 51; 2.015 Å, I 46

Structure:
Unit cell a=3.179 b=10.484 c=12.699 alpha=90.00 beta=96.04 gamma=90.00
Atoms (fractional coordinates):
Mg 0.203 0.080 0.412
Mg 0.203 0.420 0.912
Mg 0.269 0.638 0.495
Mg 0.269 0.862 0.995
Mg 0.731 0.138 0.005
Mg 0.731 0.362 0.505
Mg 0.797 0.580 0.088
Mg 0.797 0.920 0.588
B 0.129 0.048 0.807
B 0.129 0.452 0.307
B 0.261 0.168 0.639
B 0.261 0.332 0.139
B 0.739 0.668 0.861
B 0.739 0.832 0.361
B 0.871 0.548 0.693
B 0.871 0.952 0.193
H 0.180 0.119 0.194
H 0.180 0.381 0.694
H 0.372 0.744 0.161
H 0.372 0.756 0.661
H 0.628 0.244 0.339
H 0.628 0.256 0.839
H 0.820 0.619 0.306
H 0.820 0.881 0.806
O 0.097 0.051 0.247
O 0.097 0.449 0.747
O 0.220 0.043 0.915
O 0.220 0.457 0.415
O 0.235 0.153 0.749
O 0.235 0.347 0.249
O 0.268 0.209 0.102
O 0.268 0.291 0.602
O 0.279 0.062 0.576
O 0.279 0.438 0.076
O 0.301 0.705 0.091
O 0.301 0.795 0.591
O 0.699 0.205 0.409
O 0.699 0.295 0.909
O 0.721 0.562 0.924
O 0.721 0.938 0.424
O 0.732 0.709 0.398
O 0.732 0.791 0.898
O 0.765 0.653 0.751
O 0.765 0.847 0.251
O 0.780 0.543 0.585
O 0.780 0.957 0.085
O 0.903 0.551 0.253
O 0.903 0.949 0.753

***

Diffraction record for Ga4Pb2Au9. The powder X-ray diffraction pattern is calculated, not measured: it uses a DFT-relaxed cell (GGA-PBE, Alexandria) and Cu Ka.

Peak list (10 most intense, 2θ from 10° to 90°, low angle first)
3.674 Å, I 28; 2.965 Å, I 19; 2.696 Å, I 95; 2.450 Å, I 77; 2.160 Å, I 100; 1.686 Å, I 24; 1.620 Å, I 23; 1.329 Å, I 22; 1.296 Å, I 23; 1.247 Å, I 17

Structure:
Unit cell a=4.321 b=4.321 c=19.442 alpha=90.00 beta=90.00 gamma=120.00
Atoms (fractional coordinates):
Ga 0.333 0.667 0.095
Ga 0.333 0.667 0.384
Ga 0.667 0.333 0.616
Ga 0.667 0.333 0.905
Pb 0.333 0.667 0.761
Pb 0.667 0.333 0.239
Au 0.000 0.000 0.141
Au 0.000 0.000 0.329
Au 0.000 0.000 0.500
Au 0.000 0.000 0.671
Au 0.000 0.000 0.859
Au 0.333 0.667 0.569
Au 0.333 0.667 0.957
Au 0.667 0.333 0.043
Au 0.667 0.333 0.431

***

Diffraction record for Na2Hg3S4. The powder X-ray diffraction pattern is calculated, not measured: it uses a DFT-relaxed cell (GGA-PBE, Alexandria) and Cu Ka.

Peak list (10 most intense, 2θ from 10° to 90°, low angle first)
5.429 Å, I 50; 5.230 Å, I 57; 3.622 Å, I 100; 3.337 Å, I 41; 3.272 Å, I 40; 3.102 Å, I 45; 2.813 Å, I 74; 2.474 Å, I 38; 2.204 Å, I 29; 1.780 Å, I 28

Structure:
Unit cell a=7.560 b=14.207 c=8.419 alpha=90.00 beta=90.00 gamma=90.00
Atoms (fractional coordinates):
Na 0.065 0.107 0.118
Na 0.065 0.393 0.618
Na 0.435 0.607 0.118
Na 0.435 0.893 0.618
Na 0.565 0.107 0.382
Na 0.565 0.393 0.882
Na 0.935 0.607 0.382
Na 0.935 0.893 0.882
Hg 0.000 0.000 0.500
Hg 0.000 0.500 0.000
Hg 0.231 0.693 0.777
Hg 0.231 0.807 0.277
Hg 0.269 0.193 0.777
Hg 0.269 0.307 0.277
Hg 0.500 0.000 0.000
Hg 0.500 0.500 0.500
Hg 0.731 0.693 0.723
Hg 0.731 0.807 0.223
Hg 0.769 0.193 0.723
Hg 0.769 0.307 0.223
S 0.009 0.732 0.106
S 0.009 0.768 0.606
S 0.239 0.016 0.846
S 0.239 0.484 0.346
S 0.261 0.516 0.846
S 0.261 0.984 0.346
S 0.491 0.232 0.106
S 0.491 0.268 0.606
S 0.509 0.732 0.394
S 0.509 0.768 0.894
S 0.739 0.016 0.654
S 0.739 0.484 0.154
S 0.761 0.516 0.654
S 0.761 0.984 0.154
S 0.991 0.232 0.394
S 0.991 0.268 0.894

***

Diffraction record for BaPmDy. The powder X-ray diffraction pattern is calculated, not measured: it uses a DFT-relaxed cell (GGA-PBE, Alexandria) and Cu Ka.

Peak list (10 most intense, 2θ from 10° to 90°, low angle first)
3.133 Å, I 100; 2.764 Å, I 15; 2.688 Å, I 35; 1.927 Å, I 21; 1.901 Å, I 13; 1.658 Å, I 11; 1.625 Å, I 29; 1.566 Å, I 11; 1.250 Å, I 10; 1.209 Å, I 8

Structure:
Unit cell a=8.718 b=8.718 c=8.718 alpha=154.81 beta=154.81 gamma=35.92
Atoms (fractional coordinates):
Ba 0.000 0.000 0.000
Pm 0.317 0.317 0.000
Dy 0.681 0.681 0.000

***

Diffraction record for Li5Ho4Au6. The powder X-ray diffraction pattern is calculated, not measured: it uses a DFT-relaxed cell (GGA-PBE, Alexandria) and Cu Ka.

Peak list (10 most intense, 2θ from 10° to 90°, low angle first)
7.278 Å, I 37; 3.444 Å, I 48; 3.092 Å, I 31; 2.895 Å, I 29; 2.737 Å, I 24; 2.696 Å, I 51; 2.523 Å, I 100; 2.184 Å, I 25; 2.042 Å, I 49; 1.794 Å, I 25

Structure:
Unit cell a=10.883 b=10.883 c=14.557 alpha=90.00 beta=90.00 gamma=158.37
Atoms (fractional coordinates):
Li 0.048 0.952 0.500
Li 0.153 0.847 0.816
Li 0.178 0.822 0.098
Li 0.188 0.812 0.446
Li 0.322 0.678 0.459
Li 0.678 0.322 0.959
Li 0.812 0.188 0.946
Li 0.822 0.178 0.598
Li 0.847 0.153 0.316
Li 0.952 0.048 0.000
Ho 0.323 0.677 0.773
Ho 0.358 0.642 0.127
Ho 0.457 0.543 0.612
Ho 0.478 0.522 0.345
Ho 0.522 0.478 0.845
Ho 0.543 0.457 0.112
Ho 0.642 0.358 0.627
Ho 0.677 0.323 0.273
Au 0.052 0.948 0.694
Au 0.078 0.922 0.259
Au 0.082 0.918 0.970
Au 0.242 0.758 0.610
Au 0.273 0.727 0.288
Au 0.398 0.602 0.935
Au 0.602 0.398 0.435
Au 0.727 0.273 0.788
Au 0.758 0.242 0.110
Au 0.918 0.082 0.470
Au 0.922 0.078 0.759
Au 0.948 0.052 0.194

***

Diffraction record for Ti2SnPd4. The powder X-ray diffraction pattern is calculated, not measured: it uses a DFT-relaxed cell (GGA-PBE, Alexandria) and Cu Ka.

Peak list (10 most intense, 2θ from 10° to 90°, low angle first)
2.687 Å, I 13; 2.576 Å, I 10; 2.358 Å, I 50; 2.309 Å, I 43; 2.274 Å, I 30; 2.270 Å, I 100; 2.142 Å, I 17; 2.133 Å, I 14; 1.946 Å, I 10; 1.904 Å, I 15

Structure:
Unit cell a=5.521 b=7.051 c=7.053 alpha=119.47 beta=101.31 gamma=90.35
Atoms (fractional coordinates):
Ti 0.000 0.000 0.000
Ti 0.112 0.886 0.548
Ti 0.499 0.010 0.002
Ti 0.883 0.393 0.879
Sn 0.393 0.203 0.461
Sn 0.685 0.495 0.286
Pd 0.170 0.639 0.724
Pd 0.181 0.425 0.262
Pd 0.276 0.759 0.173
Pd 0.333 0.289 0.865
Pd 0.660 0.627 0.709
Pd 0.667 0.981 0.630
Pd 0.772 0.783 0.166
Pd 0.887 0.226 0.442

***

> Which formula does entry 4 have?

ThAuN